Record 1
Tb2CeScS4: theoretical PXRD pattern (copper Kα), based on a structure optimized by DFT (GGA-PBE).

```
Tb2CeScS4
1.0
6.7421 0.0000 0.0000
0.0000 3.8849 0.0000
-2.2371 0.0000 6.4014
Tb Ce Sc S
2 1 1 4
direct
0.0000 0.0000 0.0000
0.0000 0.5000 0.5000
0.5000 0.0000 0.5000
0.5000 0.5000 0.0000
0.2504 0.5000 0.2387
0.2591 0.0000 0.7639
0.7409 0.0000 0.2361
0.7496 0.5000 0.7613
```

Peak list (6 most intense, 2θ = 10–90°, in order of rising 2θ)
- d 6.376, 13.89°, I = 13.5
- d 3.201, 27.87°, I = 16.4
- d 3.178, 28.08°, I = 48.0
- d 2.757, 32.47°, I = 100.0
- d 1.955, 46.45°, I = 35.5
- d 1.944, 46.72°, I = 35.2

Record 2
CeSi2Ir3: theoretical PXRD pattern (copper Kα), based on a structure optimized by DFT (GGA-PBE).

```
CeSi2Ir3
1.0
-3.6256 4.8771 2.8118
3.6256 -4.8771 2.8118
3.6256 4.8771 -2.8118
Ce Si Ir
2 4 6
direct
0.4680 0.2180 0.2500
0.5320 0.7820 0.7500
0.1183 0.6984 0.4198
0.2214 0.3016 0.9198
0.7786 0.6984 0.0802
0.8817 0.3016 0.5802
0.0000 0.0000 0.5000
0.0000 0.2179 0.2179
0.0000 0.5000 0.0000
0.0000 0.7821 0.7821
0.5000 0.2179 0.7179
0.5000 0.7821 0.2821
```

Peak list (6 most intense, 2θ = 10–90°, in order of rising 2θ)
- d 2.909, 30.74°, I = 59.4
- d 2.437, 36.89°, I = 100.0
- d 2.223, 40.59°, I = 49.4
- d 2.022, 44.82°, I = 58.1
- d 1.642, 56.00°, I = 24.3
- d 1.454, 64.02°, I = 27.9

Record 3
Pd3Se2S: theoretical PXRD pattern (copper Kα), based on a structure optimized by DFT (GGA-PBE).

```
Pd3Se2S
1.0
11.5652 0.0000 0.0000
0.0000 11.5652 0.0000
0.0000 0.0000 7.0343
Pd Se S
24 16 8
direct
0.0448 0.1310 0.0000
0.1089 0.6089 0.2500
0.1089 0.6089 0.7500
0.1310 0.9552 0.5000
0.1398 0.2789 0.5000
0.2211 0.3602 0.0000
0.2789 0.8602 0.0000
0.3602 0.7789 0.5000
0.3690 0.4552 0.5000
0.3911 0.1089 0.2500
0.3911 0.1089 0.7500
0.4552 0.6310 0.0000
0.5448 0.3690 0.0000
0.6089 0.8911 0.2500
0.6089 0.8911 0.7500
0.6310 0.5448 0.5000
0.6398 0.2211 0.5000
0.7211 0.1398 0.0000
0.7789 0.6398 0.0000
0.8602 0.7211 0.5000
0.8690 0.0448 0.5000
0.8911 0.3911 0.2500
0.8911 0.3911 0.7500
0.9552 0.8690 0.0000
0.1145 0.8222 0.2220
0.1145 0.8222 0.7780
0.1778 0.1145 0.2780
0.1778 0.1145 0.7220
0.3222 0.6145 0.2780
0.3222 0.6145 0.7220
0.3855 0.3222 0.2220
0.3855 0.3222 0.7780
0.6145 0.6778 0.2220
0.6145 0.6778 0.7780
0.6778 0.3855 0.2780
0.6778 0.3855 0.7220
0.8222 0.8855 0.2780
0.8222 0.8855 0.7220
0.8855 0.1778 0.2220
0.8855 0.1778 0.7780
0.0946 0.4054 0.2500
0.0946 0.4054 0.7500
0.4054 0.9054 0.2500
0.4054 0.9054 0.7500
0.5946 0.0946 0.2500
0.5946 0.0946 0.7500
0.9054 0.5946 0.2500
0.9054 0.5946 0.7500
```

Peak list (6 most intense, 2θ = 10–90°, in order of rising 2θ)
- d 3.245, 27.49°, I = 39.1
- d 2.919, 30.63°, I = 50.8
- d 2.908, 30.74°, I = 100.0
- d 2.891, 30.93°, I = 73.2
- d 2.674, 33.51°, I = 43.3
- d 1.907, 47.70°, I = 43.4